Li6MnO3F3: computed powder XRD pattern (Cu Kα), based on a crystal structure in Alexandria, relaxed with PBE+U.

Atomic structure:
```
Li6MnO3F3
1.0
5.151 0.000 0.000
-0.888 5.099 0.000
-2.242 -1.845 10.062
Li Mn O F
12 2 6 6
direct
0.000 0.000 0.000
0.008 0.000 0.511
0.174 0.542 0.583
0.213 0.596 0.085
0.313 0.237 0.755
0.356 0.218 0.263
0.528 0.750 0.905
0.539 0.679 0.375
0.698 0.943 0.704
0.727 0.850 0.176
0.880 0.410 0.835
0.922 0.389 0.340
0.628 0.340 0.543
0.630 0.326 0.042
0.301 0.387 0.432
0.546 0.504 0.195
0.674 0.109 0.886
0.844 0.644 0.016
0.845 0.629 0.498
0.935 0.246 0.655
0.258 0.425 0.919
0.387 0.019 0.596
0.387 0.969 0.068
0.531 0.575 0.726
0.672 0.046 0.352
0.975 0.184 0.168
```

Peak list (12 most intense, 2θ from 10° to 90°, by angle)
h k l	Position (°2θ)	I/Imax
0 1 0	17.66	100
1 0 0	18.02	52
0 1 2	27.28	7
-1 1 2	27.97	24
1 1 -2	28.71	19
1 -1 2	29.50	23
-1 1 4	41.53	30
1 2 -2	42.91	29
0 1 4	43.07	7
2 -1 2	43.97	28
1 0 6	62.73	7
3 1 0	63.19	7